Entry 1:
Computed X-ray diffraction stick pattern of Nd4Fe4As4O3F for Cu Kα, from the GGA+U geometry in the Materials Project.
Lines closer than 0.1° are merged.

Peak list (12 most intense, 2θ from 15° to 90°, by intensity)
- 2θ 29.5, I 100
- 2θ 37.1, I 42
- 2θ 54.5, I 37
- 2θ 44.7, I 33
- 2θ 51.3, I 24
- 2θ 31.2, I 21
- 2θ 32.8, I 19
- 2θ 45.7, I 12
- 2θ 65.1, I 10
- 2θ 87.4, I 9
- 2θ 73.1, I 8
- 2θ 90.0, I 8

Structure:
```
data_Nd4Fe4As4O3F
_cell_length_a 5.728
_cell_length_b 5.728
_cell_length_c 18.215
_cell_angle_alpha 90.00
_cell_angle_beta 90.00
_cell_angle_gamma 90.00
_symmetry_space_group_name_H-M 'I -4 2 m'
_symmetry_Int_Tables_number 121
_symmetry_space_group_name_Hall 'I -4 2'
loop_
_atom_site_label
_atom_site_fract_x
_atom_site_fract_y
_atom_site_fract_z
_atom_site_occupancy
Nd1 0.240 0.240 0.430 1
Fe1 0.000 0.000 0.250 1
Fe2 0.000 0.500 0.250 1
As1 0.249 0.249 0.159 1
O1 0.000 0.000 0.500 1
O2 0.000 0.500 0.000 1
F1 0.000 0.000 0.000 1
```



Entry 2:
Computed X-ray diffraction stick pattern of Sr2CoCl2O2 for Cu Kα, from the GGA+U geometry in the Materials Project.
Lines closer than 0.1° are merged.

Peak list (12 most intense, 2θ from 15° to 90°, by intensity)
- 2θ 36.4, I 100
- 2θ 31.0, I 71
- 2θ 58.7, I 47
- 2θ 44.4, I 38
- 2θ 38.9, I 20
- 2θ 64.5, I 12
- 2θ 73.3, I 11
- 2θ 27.9, I 11
- 2θ 76.4, I 11
- 2θ 77.4, I 9
- 2θ 68.8, I 8
- 2θ 58.2, I 8

Structure:
```
data_Sr2CoCl2O2
_cell_length_a 4.084
_cell_length_b 4.084
_cell_length_c 15.474
_cell_angle_alpha 90.00
_cell_angle_beta 90.00
_cell_angle_gamma 90.00
_symmetry_space_group_name_H-M 'I 4/m m m'
_symmetry_Int_Tables_number 139
_symmetry_space_group_name_Hall '-I 4 2'
loop_
_atom_site_label
_atom_site_fract_x
_atom_site_fract_y
_atom_site_fract_z
_atom_site_occupancy
Sr1 0.000 0.000 0.107 1
Co1 0.000 0.000 0.500 1
Cl1 0.000 0.000 0.321 1
O1 0.000 0.500 0.000 1
```



Entry 3:
Computed X-ray diffraction stick pattern of CaPrHfCrO6 for Cu Kα, from the GGA+U geometry in the Materials Project.
Lines closer than 0.1° are merged.

Peak list (12 most intense, 2θ from 15° to 90°, by intensity)
- 2θ 31.7, I 100
- 2θ 56.4, I 39
- 2θ 19.2, I 36
- 2θ 45.4, I 32
- 2θ 37.3, I 22
- 2θ 66.1, I 19
- 2θ 75.2, I 17
- 2θ 49.7, I 11
- 2θ 60.2, I 8
- 2θ 69.6, I 8
- 2θ 83.9, I 6
- 2θ 22.2, I 6

Structure:
```
data_CaPrHfCrO6
_cell_length_a 7.992
_cell_length_b 7.992
_cell_length_c 7.992
_cell_angle_alpha 90.00
_cell_angle_beta 90.00
_cell_angle_gamma 90.00
_symmetry_space_group_name_H-M 'F -4 3 m'
_symmetry_Int_Tables_number 216
_symmetry_space_group_name_Hall 'F -4 2 3'
loop_
_atom_site_label
_atom_site_fract_x
_atom_site_fract_y
_atom_site_fract_z
_atom_site_occupancy
Ca1 0.000 0.000 0.000 1
Pr1 0.000 0.000 0.500 1
Hf1 0.250 0.250 0.750 1
Cr1 0.250 0.250 0.250 1
O1 0.004 0.250 0.250 1
```